Zr3Ti2Pb5O15: calculated XRD peak list (copper Kα), based on a DFT-relaxed cell (PBE, Alexandria).
Kinematic intensities with the Lorentz-polarization factor, no thermal factor.

The 10 most intense peaks (10 to 90 degrees two-theta), low angle first:
2θ/deg	d/Å	I_rel	hkl
21.4	4.152	48	0 1 5
30.2	2.957	97	1 0 10
30.7	2.916	100	1 1 0
37.7	2.386	26	2 0 5
43.6	2.076	50	0 2 10
48.8	1.867	21	1 1 15
53.4	1.715	17	0 1 20
54.2	1.691	40	2 1 10
54.5	1.683	20	3 0 0
63.9	1.458	18	2 2 0

Atomic structure:
```
data_Zr3Ti2Pb5O15
_cell_length_a 5.8314
_cell_length_b 5.8314
_cell_length_c 36.4747
_cell_angle_alpha 90.00
_cell_angle_beta 90.00
_cell_angle_gamma 120.00
_symmetry_space_group_name_H-M 'R 3 m'
_symmetry_Int_Tables_number 160
_symmetry_space_group_name_Hall 'R 3 -2"'
loop_
_atom_site_label
_atom_site_fract_x
_atom_site_fract_y
_atom_site_fract_z
Zr1 0.0000 0.0000 0.0000
Zr2 0.0000 0.0000 0.1953
Zr3 0.0000 0.0000 0.5973
Ti1 0.0000 0.0000 0.4005
Ti2 0.0000 0.0000 0.7977
Pb1 0.0000 0.0000 0.1023
Pb2 0.0000 0.0000 0.3108
Pb3 0.0000 0.0000 0.5038
Pb4 0.0000 0.0000 0.7085
Pb5 0.0000 0.0000 0.9078
O1 0.0029 0.5014 0.4879
O2 0.1682 0.3364 0.4245
O3 0.1741 0.3482 0.2227
O4 0.1747 0.3493 0.6254
O5 0.1767 0.3534 0.0279
```